No. 1
Starting from DFT lattice parameters and positions (GGA-PBE), the PXRD pattern of DyTm2Te3 was calculated for Cu Kα, 1.54184 Å.
No peak broadening, texture or thermal motion is included.

Largest 10 diffraction maxima, low angle first, 2θ from 5° to 70°:
- 24.80 deg, rel. 23
- 27.41 deg, rel. 40
- 34.14 deg, rel. 100
- 43.32 deg, rel. 11
- 43.67 deg, rel. 41
- 47.19 deg, rel. 11
- 52.34 deg, rel. 7
- 54.03 deg, rel. 6
- 56.57 deg, rel. 24
- 66.24 deg, rel. 24

Structure:
Cell lengths 8.748, 8.748, 8.748 Å; angles 48.45, 48.45, 48.45 degrees
Fractional positions:
Dy (0.000, 0.000, 0.000)
Dy (0.500, 0.500, 0.500)
Tm (0.166, 0.166, 0.166)
Tm (0.334, 0.334, 0.334)
Tm (0.666, 0.666, 0.666)
Tm (0.834, 0.834, 0.834)
Te (0.080, 0.750, 0.420)
Te (0.250, 0.580, 0.920)
Te (0.420, 0.080, 0.750)
Te (0.580, 0.920, 0.250)
Te (0.750, 0.420, 0.080)
Te (0.920, 0.250, 0.580)

No. 2
Starting from DFT lattice parameters and positions (GGA-PBE), the PXRD pattern of Ac3Ge2S8 was calculated for Cu Kα, 1.54184 Å.
No peak broadening, texture or thermal motion is included.

Largest 10 diffraction maxima, low angle first, 2θ from 5° to 70°:
- 23.50 deg, rel. 86
- 26.27 deg, rel. 100
- 33.78 deg, rel. 19
- 35.53 deg, rel. 49
- 39.50 deg, rel. 31
- 42.30 deg, rel. 20
- 44.73 deg, rel. 40
- 46.36 deg, rel. 21
- 54.09 deg, rel. 28
- 55.60 deg, rel. 20

Structure:
Cell lengths 9.135, 9.135, 9.135 Å; angles 43.59, 43.59, 43.59 degrees
Fractional positions:
Ac (0.000, 0.000, 0.000)
Ac (0.208, 0.208, 0.208)
Ac (0.792, 0.792, 0.792)
Ge (0.412, 0.412, 0.412)
Ge (0.588, 0.588, 0.588)
S (0.195, 0.747, 0.747)
S (0.253, 0.253, 0.805)
S (0.253, 0.805, 0.253)
S (0.321, 0.321, 0.321)
S (0.679, 0.679, 0.679)
S (0.747, 0.195, 0.747)
S (0.747, 0.747, 0.195)
S (0.805, 0.253, 0.253)

No. 3
Starting from DFT lattice parameters and positions (GGA-PBE), the PXRD pattern of K5Si2O6 was calculated for Cu Kα, 1.54184 Å.
No peak broadening, texture or thermal motion is included.

Largest 10 diffraction maxima, low angle first, 2θ from 5° to 70°:
- 15.37 deg, rel. 48
- 27.61 deg, rel. 55
- 28.50 deg, rel. 32
- 30.54 deg, rel. 51
- 31.34 deg, rel. 100
- 34.59 deg, rel. 20
- 34.88 deg, rel. 21
- 38.02 deg, rel. 22
- 39.78 deg, rel. 18
- 44.99 deg, rel. 18

Structure:
Cell lengths 6.468, 6.468, 13.929 Å; angles 100.45, 100.45, 69.18 degrees
Fractional positions:
K (0.097, 0.903, 0.750)
K (0.181, 0.706, 0.005)
K (0.287, 0.416, 0.283)
K (0.294, 0.819, 0.495)
K (0.416, 0.287, 0.783)
K (0.584, 0.713, 0.217)
K (0.706, 0.181, 0.505)
K (0.713, 0.584, 0.717)
K (0.819, 0.294, 0.995)
K (0.903, 0.097, 0.250)
Si (0.137, 0.413, 0.569)
Si (0.413, 0.137, 0.069)
Si (0.587, 0.863, 0.931)
Si (0.863, 0.587, 0.431)
O (0.109, 0.218, 0.619)
O (0.114, 0.364, 0.442)
O (0.218, 0.109, 0.119)
O (0.341, 0.502, 0.618)
O (0.364, 0.114, 0.942)
O (0.498, 0.659, 0.882)
O (0.502, 0.341, 0.118)
O (0.636, 0.886, 0.058)
O (0.659, 0.498, 0.382)
O (0.782, 0.891, 0.881)
O (0.886, 0.636, 0.558)
O (0.891, 0.782, 0.381)

No. 4
Starting from DFT lattice parameters and positions (GGA-PBE), the PXRD pattern of Mn2CdCI was calculated for Cu Kα, 1.54184 Å.
No peak broadening, texture or thermal motion is included.

Largest 10 diffraction maxima, low angle first, 2θ from 5° to 70°:
- 13.02 deg, rel. 27
- 26.20 deg, rel. 58
- 31.60 deg, rel. 10
- 34.31 deg, rel. 100
- 41.50 deg, rel. 10
- 45.30 deg, rel. 25
- 51.65 deg, rel. 30
- 53.08 deg, rel. 30
- 53.92 deg, rel. 7
- 66.00 deg, rel. 8

Structure:
Cell lengths 4.004, 4.004, 6.802 Å; angles 90.00, 90.00, 90.00 degrees
Fractional positions:
Mn (0.000, 0.500, 0.000)
Mn (0.500, 0.000, 0.000)
Cd (0.000, 0.000, 0.500)
C (0.500, 0.500, 0.000)
I (0.500, 0.500, 0.500)

No. 5
Starting from DFT lattice parameters and positions (GGA-PBE), the PXRD pattern of AcDyZnRh was calculated for Cu Kα, 1.54184 Å.
No peak broadening, texture or thermal motion is included.

Largest 10 diffraction maxima, low angle first, 2θ from 5° to 70°:
- 21.03 deg, rel. 3
- 24.33 deg, rel. 16
- 34.68 deg, rel. 100
- 40.91 deg, rel. 2
- 42.82 deg, rel. 5
- 49.86 deg, rel. 18
- 54.69 deg, rel. 1
- 56.23 deg, rel. 7
- 62.16 deg, rel. 37
- 66.40 deg, rel. 1

Structure:
Cell lengths 7.316, 7.316, 7.316 Å; angles 90.00, 90.00, 90.00 degrees
Fractional positions:
Ac (0.000, 0.000, 0.000)
Ac (0.000, 0.500, 0.500)
Ac (0.500, 0.000, 0.500)
Ac (0.500, 0.500, 0.000)
Dy (0.000, 0.000, 0.500)
Dy (0.000, 0.500, 0.000)
Dy (0.500, 0.000, 0.000)
Dy (0.500, 0.500, 0.500)
Zn (0.250, 0.250, 0.750)
Zn (0.250, 0.750, 0.250)
Zn (0.750, 0.250, 0.250)
Zn (0.750, 0.750, 0.750)
Rh (0.250, 0.250, 0.250)
Rh (0.250, 0.750, 0.750)
Rh (0.750, 0.250, 0.750)
Rh (0.750, 0.750, 0.250)

No. 6
Starting from DFT lattice parameters and positions (GGA-PBE), the PXRD pattern of Ti2MoIr9 was calculated for Cu Kα, 1.54184 Å.
No peak broadening, texture or thermal motion is included.

Largest 10 diffraction maxima, low angle first, 2θ from 5° to 70°:
- 14.61 deg, rel. 12
- 40.00 deg, rel. 34
- 40.15 deg, rel. 100
- 46.46 deg, rel. 22
- 46.67 deg, rel. 22
- 46.83 deg, rel. 22
- 67.89 deg, rel. 7
- 68.03 deg, rel. 14
- 68.15 deg, rel. 14
- 68.40 deg, rel. 7

Structure:
Cell lengths 4.788, 6.136, 6.153 Å; angles 84.08, 82.60, 82.71 degrees
Fractional positions:
Ti (0.245, 0.097, 0.419)
Ti (0.755, 0.903, 0.581)
Mo (0.500, 0.000, 0.000)
Ir (0.000, 0.500, 0.500)
Ir (0.007, 0.163, 0.834)
Ir (0.252, 0.414, 0.083)
Ir (0.253, 0.756, 0.738)
Ir (0.491, 0.670, 0.330)
Ir (0.509, 0.330, 0.670)
Ir (0.747, 0.244, 0.262)
Ir (0.748, 0.586, 0.917)
Ir (0.993, 0.837, 0.166)

No. 7
Starting from DFT lattice parameters and positions (GGA-PBE), the PXRD pattern of BaFeSe2 was calculated for Cu Kα, 1.54184 Å.
No peak broadening, texture or thermal motion is included.

Largest 10 diffraction maxima, low angle first, 2θ from 5° to 70°:
- 23.69 deg, rel. 39
- 24.63 deg, rel. 51
- 31.60 deg, rel. 58
- 32.13 deg, rel. 28
- 33.56 deg, rel. 24
- 33.80 deg, rel. 36
- 35.02 deg, rel. 100
- 41.77 deg, rel. 30
- 54.67 deg, rel. 27
- 56.55 deg, rel. 23

Structure:
Cell lengths 4.329, 3.745, 7.031 Å; angles 90.00, 92.48, 90.00 degrees
Fractional positions:
Ba (0.000, 0.000, 0.000)
Fe (0.500, 0.000, 0.500)
Se (0.481, 0.500, 0.738)
Se (0.519, 0.500, 0.262)

No. 8
Starting from DFT lattice parameters and positions (GGA-PBE), the PXRD pattern of CsK6Cd was calculated for Cu Kα, 1.54184 Å.
No peak broadening, texture or thermal motion is included.

Largest 10 diffraction maxima, low angle first, 2θ from 5° to 70°:
- 8.31 deg, rel. 86
- 13.63 deg, rel. 30
- 21.49 deg, rel. 41
- 23.60 deg, rel. 38
- 25.01 deg, rel. 60
- 25.53 deg, rel. 100
- 31.81 deg, rel. 45
- 35.13 deg, rel. 21
- 39.88 deg, rel. 26
- 46.04 deg, rel. 21

Structure:
Cell lengths 4.622, 12.991, 18.522 Å; angles 90.00, 90.00, 90.00 degrees
Fractional positions:
Cs (0.000, 0.000, 0.000)
Cs (0.000, 0.500, 0.500)
K (0.000, 0.000, 0.451)
K (0.000, 0.222, 0.825)
K (0.000, 0.278, 0.325)
K (0.000, 0.500, 0.951)
K (0.000, 0.722, 0.325)
K (0.000, 0.778, 0.825)
K (0.500, 0.000, 0.233)
K (0.500, 0.175, 0.622)
K (0.500, 0.325, 0.122)
K (0.500, 0.500, 0.733)
K (0.500, 0.675, 0.122)
K (0.500, 0.825, 0.622)
Cd (0.500, 0.000, 0.798)
Cd (0.500, 0.500, 0.298)

No. 9
Starting from DFT lattice parameters and positions (GGA-PBE), the PXRD pattern of LaHoGa2Ni2 was calculated for Cu Kα, 1.54184 Å.
No peak broadening, texture or thermal motion is included.

Largest 10 diffraction maxima, low angle first, 2θ from 5° to 70°:
- 12.08 deg, rel. 7
- 23.73 deg, rel. 18
- 34.22 deg, rel. 100
- 41.73 deg, rel. 52
- 44.26 deg, rel. 3
- 48.57 deg, rel. 3
- 49.78 deg, rel. 8
- 55.03 deg, rel. 25
- 55.86 deg, rel. 5
- 66.92 deg, rel. 19

Structure:
Cell lengths 4.329, 4.329, 7.327 Å; angles 90.00, 90.00, 120.00 degrees
Fractional positions:
La (0.000, 0.000, 0.000)
Ho (0.000, 0.000, 0.500)
Ga (0.333, 0.667, 0.279)
Ga (0.667, 0.333, 0.721)
Ni (0.333, 0.667, 0.718)
Ni (0.667, 0.333, 0.282)